Entry 1:
Diffraction record for NiO2. The PXRD pattern is simulated, not measured: it uses a structure optimized by DFT (PBE+U) and CuKα.
Intensities are scaled so that the largest is 100.

Atomic structure:
Cell lengths 2.750, 4.162, 7.611 Å; angles 90.00, 90.00, 90.00 degrees
Atoms (fractional coordinates):
Ni 0.000 0.000 0.000
Ni 0.500 0.500 0.500
O 0.000 0.500 0.349
O 0.000 0.500 0.651
O 0.500 0.000 0.151
O 0.500 0.000 0.849

Top 10 peaks for 2θ from 5° to 70°, by angle:
2θ 23.4, I 22
2θ 24.4, I 100
2θ 34.7, I 11
2θ 43.5, I 13
2θ 46.2, I 26
2θ 48.8, I 17
2θ 49.9, I 6
2θ 56.8, I 6
2θ 63.5, I 12
2θ 67.4, I 11



Entry 2:
Diffraction record for NiO2. The PXRD pattern is simulated, not measured: it uses a structure optimized by DFT (PBE+U) and CuKα.
Intensities are scaled so that the largest is 100.

Atomic structure:
Cell lengths 6.897, 6.897, 6.897 Å; angles 92.43, 92.43, 156.21 degrees
Atoms (fractional coordinates):
Ni 0.150 0.667 0.817
Ni 0.333 0.150 0.482
Ni 0.667 0.850 0.518
Ni 0.850 0.333 0.183
O 0.044 0.323 0.368
O 0.297 0.348 0.644
O 0.323 0.956 0.279
O 0.348 0.703 0.051
O 0.652 0.297 0.949
O 0.677 0.044 0.721
O 0.703 0.652 0.356
O 0.956 0.677 0.632

Top 10 peaks for 2θ from 5° to 70°, by angle:
2θ 13.1, I 100
2θ 18.6, I 96
2θ 29.6, I 62
2θ 37.7, I 25
2θ 38.0, I 84
2θ 40.1, I 17
2θ 42.6, I 14
2θ 50.9, I 40
2θ 58.0, I 17
2θ 61.7, I 42



Entry 3:
Diffraction record for NiO2. The PXRD pattern is simulated, not measured: it uses a structure optimized by DFT (PBE+U) and CuKα.
Intensities are scaled so that the largest is 100.

Atomic structure:
Cell lengths 5.749, 5.749, 18.820 Å; angles 99.32, 99.32, 59.93 degrees
Atoms (fractional coordinates):
Ni 0.000 0.000 0.000
Ni 0.196 0.196 0.562
Ni 0.219 0.723 0.650
Ni 0.222 0.720 0.157
Ni 0.249 0.249 0.749
Ni 0.349 0.349 0.032
Ni 0.445 0.445 0.313
Ni 0.473 0.973 0.403
Ni 0.476 0.969 0.904
Ni 0.502 0.502 0.495
Ni 0.598 0.598 0.779
Ni 0.720 0.222 0.157
Ni 0.723 0.219 0.650
Ni 0.747 0.747 0.242
Ni 0.969 0.476 0.904
Ni 0.973 0.473 0.403
O 0.021 0.021 0.102
O 0.032 0.032 0.596
O 0.040 0.557 0.592
O 0.080 0.527 0.094
O 0.146 0.652 0.461
O 0.153 0.625 0.969
O 0.173 0.173 0.462
O 0.174 0.174 0.963
O 0.271 0.271 0.851
O 0.283 0.283 0.349
O 0.291 0.800 0.346
O 0.334 0.773 0.843
O 0.387 0.901 0.214
O 0.404 0.875 0.717
O 0.419 0.419 0.212
O 0.424 0.424 0.712
O 0.516 0.516 0.098
O 0.524 0.524 0.596
O 0.527 0.080 0.094
O 0.557 0.040 0.592
O 0.625 0.153 0.969
O 0.652 0.146 0.461
O 0.662 0.662 0.458
O 0.667 0.667 0.955
O 0.767 0.767 0.845
O 0.771 0.771 0.344
O 0.773 0.334 0.843
O 0.800 0.291 0.346
O 0.875 0.404 0.717
O 0.901 0.387 0.214
O 0.914 0.914 0.210
O 0.922 0.922 0.705

Top 10 peaks for 2θ from 5° to 70°, by angle:
2θ 18.9, I 89
2θ 31.1, I 55
2θ 31.3, I 61
2θ 36.7, I 100
2θ 36.8, I 99
2θ 37.0, I 44
2θ 37.3, I 50
2θ 59.1, I 41
2θ 64.9, I 63
2θ 65.8, I 41



Entry 4:
Diffraction record for Ni6O7. The PXRD pattern is simulated, not measured: it uses a structure optimized by DFT (PBE+U) and CuKα.
Intensities are scaled so that the largest is 100.

Atomic structure:
Cell lengths 5.072, 5.818, 8.934 Å; angles 89.87, 83.76, 73.16 degrees
Atoms (fractional coordinates):
Ni 0.000 0.000 0.000
Ni 0.000 0.500 0.000
Ni 0.145 0.212 0.718
Ni 0.274 0.932 0.431
Ni 0.285 0.429 0.430
Ni 0.423 0.147 0.147
Ni 0.440 0.636 0.146
Ni 0.560 0.364 0.854
Ni 0.577 0.853 0.853
Ni 0.715 0.571 0.570
Ni 0.726 0.068 0.569
Ni 0.855 0.788 0.282
O 0.009 0.231 0.514
O 0.165 0.477 0.212
O 0.165 0.939 0.202
O 0.290 0.183 0.926
O 0.302 0.669 0.940
O 0.458 0.364 0.633
O 0.463 0.905 0.638
O 0.537 0.095 0.362
O 0.542 0.636 0.367
O 0.698 0.331 0.060
O 0.710 0.817 0.074
O 0.835 0.061 0.798
O 0.835 0.523 0.788
O 0.991 0.769 0.486

Top 10 peaks for 2θ from 5° to 70°, by angle:
2θ 37.4, I 47
2θ 37.5, I 94
2θ 37.6, I 47
2θ 42.9, I 100
2θ 43.9, I 92
2θ 44.0, I 91
2θ 63.0, I 81
2θ 63.3, I 27
2θ 63.8, I 25
2θ 64.0, I 26



Entry 5:
Diffraction record for NiO2. The PXRD pattern is simulated, not measured: it uses a structure optimized by DFT (PBE+U) and CuKα.
Intensities are scaled so that the largest is 100.

Atomic structure:
Cell lengths 5.616, 5.616, 5.616 Å; angles 60.00, 60.00, 60.00 degrees
Atoms (fractional coordinates):
Ni 0.000 0.000 0.000
Ni 0.000 0.000 0.500
Ni 0.000 0.500 0.000
Ni 0.500 0.000 0.000
O 0.207 0.764 0.764
O 0.236 0.236 0.236
O 0.236 0.236 0.793
O 0.236 0.793 0.236
O 0.764 0.207 0.764
O 0.764 0.764 0.207
O 0.764 0.764 0.764
O 0.793 0.236 0.236

Top 7 peaks for 2θ from 5° to 70°, by angle:
2θ 19.4, I 100
2θ 37.6, I 37
2θ 39.3, I 13
2θ 45.7, I 47
2θ 50.1, I 11
2θ 60.6, I 16
2θ 66.6, I 25